Record 1
The following is a computed PXRD pattern of Li2Fe2S3O12. It was derived from a structure optimized by DFT (PBE+U), using Cu Kα (λ = 1.5418 Å).
Peak positions follow from Bragg's law for the DFT cell and can differ from measured ones.

Atomic structure:
```
Li2Fe2S3O12
1.0
6.680 -4.344 0.000
6.680 4.344 0.000
-3.943 0.000 7.936
Li Fe S O
4 4 6 24
Direct
0.137 0.331 0.056 Li
0.331 0.137 0.556 Li
0.669 0.863 0.444 Li
0.863 0.669 0.944 Li
0.127 0.632 0.485 Fe
0.368 0.873 0.015 Fe
0.632 0.127 0.985 Fe
0.873 0.368 0.515 Fe
0.060 0.940 0.250 S
0.249 0.459 0.823 S
0.459 0.249 0.323 S
0.541 0.751 0.677 S
0.751 0.541 0.177 S
0.940 0.060 0.750 S
0.048 0.127 0.384 O
0.098 0.788 0.324 O
0.126 0.496 0.928 O
0.127 0.048 0.884 O
0.132 0.456 0.641 O
0.212 0.902 0.176 O
0.262 0.388 0.312 O
0.346 0.602 0.883 O
0.388 0.262 0.812 O
0.398 0.654 0.617 O
0.456 0.132 0.141 O
0.496 0.126 0.428 O
0.504 0.874 0.572 O
0.544 0.868 0.859 O
0.602 0.346 0.383 O
0.612 0.738 0.188 O
0.654 0.398 0.117 O
0.738 0.612 0.688 O
0.788 0.098 0.824 O
0.868 0.544 0.359 O
0.873 0.952 0.116 O
0.874 0.504 0.072 O
0.902 0.212 0.676 O
0.952 0.873 0.616 O
```

Most intense lines, 2θ from 15° to 90°, low angle first:
2theta, I_rel
22.7, 29
23.3, 100
24.6, 72
25.7, 93
30.5, 75
31.0, 59
32.9, 48
47.1, 34

---

Record 2
The following is a computed PXRD pattern of Li2FeS2O8. It was derived from a structure optimized by DFT (PBE+U), using Cu Kα (λ = 1.5418 Å).
Peak positions follow from Bragg's law for the DFT cell and can differ from measured ones.

Atomic structure:
```
Li2FeS2O8
1.0
5.088 0.000 0.000
0.000 8.297 0.000
-4.744 0.000 7.619
Li Fe S O
4 2 4 16
Direct
0.017 0.137 0.101 Li
0.017 0.363 0.601 Li
0.983 0.637 0.399 Li
0.983 0.863 0.899 Li
0.000 0.000 0.500 Fe
0.000 0.500 0.000 Fe
0.332 0.695 0.803 S
0.332 0.805 0.303 S
0.668 0.195 0.697 S
0.668 0.305 0.197 S
0.182 0.582 0.654 O
0.182 0.918 0.154 O
0.203 0.638 0.249 O
0.203 0.862 0.749 O
0.278 0.649 0.945 O
0.278 0.851 0.445 O
0.326 0.197 0.623 O
0.326 0.303 0.123 O
0.674 0.697 0.877 O
0.674 0.803 0.377 O
0.722 0.149 0.555 O
0.722 0.351 0.055 O
0.797 0.138 0.251 O
0.797 0.362 0.751 O
0.818 0.082 0.846 O
0.818 0.418 0.346 O
```

Most intense lines, 2θ from 15° to 90°, low angle first:
2theta, I_rel
15.8, 100
21.4, 26
23.2, 70
24.0, 61
25.7, 40
29.9, 42
31.9, 38
37.0, 35

---

Record 3
The following is a computed PXRD pattern of Li2Fe3SbO8. It was derived from a structure optimized by DFT (PBE+U), using Cu Kα (λ = 1.5418 Å).
Peak positions follow from Bragg's law for the DFT cell and can differ from measured ones.

Atomic structure:
```
Li2Fe3SbO8
1.0
8.607 0.000 0.000
0.000 8.607 0.000
0.000 0.000 8.607
Li Fe Sb O
8 12 4 32
Direct
0.002 0.002 0.002 Li
0.248 0.248 0.248 Li
0.252 0.752 0.748 Li
0.498 0.998 0.502 Li
0.502 0.498 0.998 Li
0.748 0.252 0.752 Li
0.752 0.748 0.252 Li
0.998 0.502 0.498 Li
0.116 0.134 0.625 Fe
0.125 0.384 0.866 Fe
0.134 0.625 0.116 Fe
0.366 0.375 0.616 Fe
0.375 0.616 0.366 Fe
0.384 0.866 0.125 Fe
0.616 0.366 0.375 Fe
0.625 0.116 0.134 Fe
0.634 0.875 0.884 Fe
0.866 0.125 0.384 Fe
0.875 0.884 0.634 Fe
0.884 0.634 0.875 Fe
0.125 0.875 0.375 Sb
0.375 0.125 0.875 Sb
0.625 0.625 0.625 Sb
0.875 0.375 0.125 Sb
0.110 0.386 0.114 O
0.114 0.110 0.386 O
0.114 0.886 0.610 O
0.116 0.616 0.884 O
0.134 0.366 0.634 O
0.136 0.640 0.364 O
0.136 0.864 0.140 O
0.140 0.136 0.864 O
0.360 0.864 0.364 O
0.364 0.136 0.640 O
0.364 0.360 0.864 O
0.366 0.634 0.134 O
0.384 0.384 0.384 O
0.386 0.114 0.110 O
0.386 0.890 0.886 O
0.390 0.614 0.614 O
0.610 0.114 0.886 O
0.614 0.390 0.614 O
0.614 0.614 0.390 O
0.616 0.884 0.116 O
0.634 0.134 0.366 O
0.636 0.636 0.860 O
0.636 0.860 0.636 O
0.640 0.364 0.136 O
0.860 0.636 0.636 O
0.864 0.140 0.136 O
0.864 0.364 0.360 O
0.866 0.866 0.866 O
0.884 0.116 0.616 O
0.886 0.386 0.890 O
0.886 0.610 0.114 O
0.890 0.886 0.386 O
```

Most intense lines, 2θ from 15° to 90°, low angle first:
2theta, I_rel
17.8, 100
34.6, 52
36.2, 19
42.0, 54
46.0, 14
55.5, 20
60.9, 33
64.0, 16

---

Repeat the second record exactly.
The following is a computed PXRD pattern of Li2FeS2O8. It was derived from a structure optimized by DFT (PBE+U), using Cu Kα (λ = 1.5418 Å).
Peak positions follow from Bragg's law for the DFT cell and can differ from measured ones.

Atomic structure:
```
Li2FeS2O8
1.0
5.088 0.000 0.000
0.000 8.297 0.000
-4.744 0.000 7.619
Li Fe S O
4 2 4 16
Direct
0.017 0.137 0.101 Li
0.017 0.363 0.601 Li
0.983 0.637 0.399 Li
0.983 0.863 0.899 Li
0.000 0.000 0.500 Fe
0.000 0.500 0.000 Fe
0.332 0.695 0.803 S
0.332 0.805 0.303 S
0.668 0.195 0.697 S
0.668 0.305 0.197 S
0.182 0.582 0.654 O
0.182 0.918 0.154 O
0.203 0.638 0.249 O
0.203 0.862 0.749 O
0.278 0.649 0.945 O
0.278 0.851 0.445 O
0.326 0.197 0.623 O
0.326 0.303 0.123 O
0.674 0.697 0.877 O
0.674 0.803 0.377 O
0.722 0.149 0.555 O
0.722 0.351 0.055 O
0.797 0.138 0.251 O
0.797 0.362 0.751 O
0.818 0.082 0.846 O
0.818 0.418 0.346 O
```

Most intense lines, 2θ from 15° to 90°, low angle first:
2theta, I_rel
15.8, 100
21.4, 26
23.2, 70
24.0, 61
25.7, 40
29.9, 42
31.9, 38
37.0, 35